This entry pairs a crystal structure of Ta2Ni3S8 with its theoretical X-ray diffraction stick pattern. Radiation: Cu Kα, 1.54184 Å. Structure: DFT lattice parameters and positions (GGA-PBE).

Main lines, in order of rising 2θ (10 to 80 degrees two-theta):
(1 1 0), 10.49°, rel. 53; (1 2 0), 14.98°, rel. 100; (2 0 0), 17.03°, rel. 18; (2 3 0), 25.27°, rel. 16; (1 2 1), 30.69°, rel. 26; (2 1 1), 32.40°, rel. 19; (0 4 1), 36.70°, rel. 32; (3 5 0), 40.74°, rel. 17; (4 1 1), 44.54°, rel. 19; (1 6 1), 47.50°, rel. 20

Structure:
abc: 10.4133 14.3646 3.3478
angles: 90.00 90.00 90.00
Space group Pbam (No. 55)
Symmetry-distinct sites (fractional):
Ta: 0.1847 0.1263 0.0000 x4
Ni: 0.0000 0.0000 0.5000 x2
Ni: 0.1532 0.7335 0.5000 x4
S: 0.0113 0.1546 0.5000 x4
S: 0.0829 0.6420 0.0000 x4
S: 0.2120 0.0017 0.5000 x4
S: 0.2266 0.2920 0.0000 x4